Record 1
Diffraction record for Pa5CN4. The X-ray powder pattern is calculated, not measured: it uses the GGA-PBE geometry in Alexandria and Cu Kα.
Kinematic intensities with the Lorentz-polarization factor, no thermal factor.

Largest 10 diffraction maxima, low angle first, 10° ≤ 2θ ≤ 80°:
h k l	Position (°2θ)	I (rel.)
1 1 0	31.1	100
1 0 5	36.1	65
2 0 0	51.8	8
1 2 5	51.9	38
2 1 5	61.7	31
1 3 0	61.8	15
2 2 0	64.8	8
0 2 10	64.9	8
2 0 10	76.4	5
0 4 0	76.6	2

Cell: 3.528 4.977 17.603 Å, 90.00 90.00 90.00°
Space group Immm (No. 71)
Unique sites:
Pa 0.000 0.000 0.000 x2
Pa 0.000 0.000 0.200 x4
Pa 0.000 0.000 0.399 x4
C 0.000 0.500 0.000 x2
N 0.000 0.500 0.202 x4
N 0.000 0.500 0.399 x4

Record 2
Diffraction record for Pa4CN5. The X-ray powder pattern is calculated, not measured: it uses the GGA-PBE geometry in Alexandria and Cu Kα.
Kinematic intensities with the Lorentz-polarization factor, no thermal factor.

Largest 12 diffraction maxima, low angle first, 10° ≤ 2θ ≤ 80°:
h k l	Position (°2θ)	I (rel.)
0 1 3	24.6	29
1 0 1	25.6	31
0 0 4	27.2	58
1 1 0	28.3	42
0 2 2	30.8	100
1 1 2	31.5	41
1 0 3	32.2	59
1 2 1	37.9	64
1 3 2	51.2	20
1 2 5	51.5	62
1 0 7	55.3	25
2 2 2	60.3	32

Cell: 3.612 6.490 13.091 Å, 90.00 90.00 90.00°
Space group Immm (No. 71)
Unique sites:
Pa 0.000 0.000 0.214 x4
Pa 0.000 0.240 0.500 x4
C 0.000 0.000 0.000 x2
N 0.000 0.280 0.328 x8
N 0.000 0.500 0.000 x2

Record 3
Diffraction record for Pa3C2N. The X-ray powder pattern is calculated, not measured: it uses the GGA-PBE geometry in Alexandria and Cu Kα.
Kinematic intensities with the Lorentz-polarization factor, no thermal factor.

Largest 6 diffraction maxima, low angle first, 10° ≤ 2θ ≤ 80°:
h k l	Position (°2θ)	I (rel.)
2 2 0	30.7	100
2 0 6	35.6	63
4 0 0	51.2	45
4 2 6	60.9	46
4 4 0	63.9	16
4 0 12	75.3	7

Cell: 7.141 10.098 21.409 Å, 90.00 90.00 90.00°
Space group Fddd (No. 70, origin choice 2)
Unique sites:
Pa 0.124 0.374 0.209 x32
Pa 0.124 0.375 0.375 x16
C 0.125 0.125 0.376 x16
C 0.125 0.125 0.542 x16
N 0.125 0.125 0.042 x16

Record 4
Diffraction record for Pb2C3N6. The X-ray powder pattern is calculated, not measured: it uses the GGA-PBE geometry in Alexandria and Cu Kα.
Kinematic intensities with the Lorentz-polarization factor, no thermal factor.

Largest 12 diffraction maxima, low angle first, 10° ≤ 2θ ≤ 80°:
h k l	Position (°2θ)	I (rel.)
0 0 1	16.6	79
4 0 0	23.0	100
4 0 -1	26.9	35
1 1 -1	28.1	62
3 1 0	28.3	20
4 0 1	30.1	20
3 1 -1	31.9	24
3 1 1	34.0	48
1 1 -2	40.5	29
3 1 2	46.0	22
7 1 0	47.1	25
7 1 1	52.0	19

Cell: 15.537 3.986 5.388 Å, 90.00 96.59 90.00°
Space group C2/m (No. 12)
Unique sites:
Pb 0.136 0.000 0.064 x4
C 0.000 0.000 0.500 x2
C 0.173 0.500 0.588 x4
N 0.005 0.000 0.730 x4
N 0.164 0.500 0.360 x4
N 0.187 0.500 0.821 x4

Record 5
Diffraction record for Tb2PbC2N6. The X-ray powder pattern is calculated, not measured: it uses the GGA-PBE geometry in Alexandria and Cu Kα.
Kinematic intensities with the Lorentz-polarization factor, no thermal factor.

Largest 12 diffraction maxima, low angle first, 10° ≤ 2θ ≤ 80°:
h k l	Position (°2θ)	I (rel.)
1 -1 0	22.1	91
1 1 -1	26.9	100
-1 1 1	29.0	29
1 0 1	29.2	76
0 1 -2	29.8	53
0 1 1	31.0	54
1 0 -2	31.7	70
0 2 -1	35.0	45
1 -2 1	36.4	64
-2 2 1	50.0	24
1 -1 3	53.9	23
3 -2 0	59.0	39

Cell: 5.225 5.229 6.261 Å, 112.76 104.74 101.09°
Space group P-1 (No. 2)
Unique sites:
Tb 0.237 0.106 0.318 x2
Pb 0.500 0.500 0.000 x1
C 0.019 0.512 0.244 x2
N 0.104 0.270 0.693 x2
N 0.139 0.772 0.904 x2
N 0.309 0.608 0.340 x2

Record 6
Diffraction record for PdCN2. The X-ray powder pattern is calculated, not measured: it uses the GGA-PBE geometry in Alexandria and Cu Kα.
Kinematic intensities with the Lorentz-polarization factor, no thermal factor.

Largest 12 diffraction maxima, low angle first, 10° ≤ 2θ ≤ 80°:
h k l	Position (°2θ)	I (rel.)
0 0 1	17.5	71
2 0 0	22.9	100
2 0 -1	25.7	30
1 1 0	31.2	19
2 0 1	31.9	16
1 1 -1	34.7	43
1 1 1	37.3	36
1 1 -2	45.8	28
3 1 -1	46.3	24
1 1 2	49.9	15
3 1 1	52.3	13
3 1 -3	66.4	15

Cell: 7.962 3.080 5.194 Å, 90.00 102.62 90.00°
Space group C2/m (No. 12)
Unique sites:
Pd 0.000 0.000 0.000 x2
C 0.000 0.500 0.500 x2
N 0.006 0.500 0.266 x4